The following is a theoretical powder diffractogram of SrMoF5. It was derived from the PBE+U geometry in Alexandria, using Cu Kα X-rays.
Lines closer than 0.1° are merged.

Principal peaks in the range 2θ = 15–90°, in order of falling intensity:
- 23.31 deg, I 100.0
- 15.70 deg, I 62.4
- 31.60 deg, I 45.4
- 26.06 deg, I 42.0
- 16.07 deg, I 40.2
- 43.28 deg, I 24.6
- 49.57 deg, I 21.7
- 40.69 deg, I 19.2
- 36.00 deg, I 18.4
- 19.02 deg, I 14.5

Atomic structure:
a = 6.134 Å, b = 6.134 Å, c = 8.071 Å
α = 107.21°, β = 107.21°, γ = 99.06°
Positions (direct):
Sr  0.085  0.915  0.750
Sr  0.915  0.085  0.250
Mo  0.000  0.500  0.000
Mo  0.500  0.000  0.500
F  0.158  0.233  0.052
F  0.205  0.795  0.250
F  0.206  0.619  0.868
F  0.233  0.158  0.552
F  0.381  0.794  0.632
F  0.619  0.206  0.368
F  0.767  0.842  0.448
F  0.794  0.381  0.132
F  0.795  0.205  0.750
F  0.842  0.767  0.948



The following is a theoretical powder diffractogram of TiMo2F. It was derived from the PBE+U geometry in Alexandria, using Cu Kα X-rays.
Lines closer than 0.1° are merged.

Principal peaks in the range 2θ = 15–90°, in order of falling intensity:
- 33.31 deg, I 100.0
- 44.15 deg, I 58.8
- 33.54 deg, I 51.2
- 47.99 deg, I 38.0
- 41.19 deg, I 30.6
- 23.54 deg, I 28.3
- 65.19 deg, I 22.8
- 37.64 deg, I 22.6
- 62.68 deg, I 18.3
- 56.56 deg, I 17.3

Atomic structure:
a = 7.558 Å, b = 7.558 Å, c = 4.443 Å
α = 90.00°, β = 90.00°, γ = 90.00°
Positions (direct):
Ti  0.000  0.000  0.000
Ti  0.000  0.500  0.250
Ti  0.500  0.000  0.750
Ti  0.500  0.500  0.500
Mo  0.164  0.250  0.625
Mo  0.250  0.664  0.875
Mo  0.250  0.836  0.375
Mo  0.336  0.250  0.125
Mo  0.664  0.750  0.125
Mo  0.750  0.164  0.375
Mo  0.750  0.336  0.875
Mo  0.836  0.750  0.625
F  0.000  0.000  0.500
F  0.000  0.500  0.750
F  0.500  0.000  0.250
F  0.500  0.500  0.000



The following is a theoretical powder diffractogram of Tl2MoF5. It was derived from the PBE+U geometry in Alexandria, using Cu Kα X-rays.
Lines closer than 0.1° are merged.

Principal peaks in the range 2θ = 15–90°, in order of falling intensity:
- 26.38 deg, I 100.0
- 27.26 deg, I 95.6
- 26.07 deg, I 52.7
- 27.34 deg, I 45.9
- 47.78 deg, I 41.8
- 38.14 deg, I 40.0
- 47.28 deg, I 27.6
- 45.63 deg, I 27.0
- 48.28 deg, I 23.5
- 38.45 deg, I 22.0

Atomic structure:
a = 7.751 Å, b = 7.751 Å, c = 8.111 Å
α = 119.23°, β = 119.23°, γ = 49.77°
Positions (direct):
Tl  0.014  0.986  0.500
Tl  0.662  0.693  0.516
Tl  0.693  0.662  0.016
Tl  0.986  0.014  0.000
Mo  0.338  0.339  0.508
Mo  0.339  0.338  0.008
F  0.070  0.274  0.881
F  0.096  0.684  0.128
F  0.231  0.446  0.758
F  0.274  0.070  0.381
F  0.403  0.609  0.636
F  0.446  0.231  0.258
F  0.583  0.993  0.889
F  0.609  0.403  0.136
F  0.684  0.096  0.628
F  0.993  0.583  0.389